Simulated powder diffraction line list of KTi2BiO6 for CuKα, from a DFT-relaxed cell (GGA-PBE, the Materials Project).

Peak list (6 most intense, 10 to 90 degrees two-theta, in order of rising 2θ)
2θ/deg	I_rel
19.6	61.6
32.2	100.0
38.0	37.8
39.7	24.8
46.2	35.5
57.5	38.5

Crystal structure
```
KTi2BiO6
1.0
0.000 3.929 3.929
3.929 0.000 3.929
3.929 3.929 0.000
K Ti Bi O
1 2 1 6
Direct
0.000 0.000 0.000
0.250 0.250 0.250
0.750 0.750 0.750
0.500 0.500 0.500
0.000 0.000 0.500
0.000 0.500 0.000
0.000 0.500 0.500
0.500 0.000 0.000
0.500 0.000 0.500
0.500 0.500 0.000
```

---

Simulated powder diffraction line list of KHgI3 for CuKα, from a DFT-relaxed cell (GGA-PBE, the Materials Project).

Peak list (6 most intense, 10 to 90 degrees two-theta, in order of rising 2θ)
2θ/deg	I_rel
12.6	78.0
15.8	41.6
23.8	100.0
25.6	51.3
38.7	47.6
43.2	37.9

Crystal structure
```
KHgI3
1.0
9.296 0.000 0.000
0.000 8.495 0.000
0.000 0.000 12.546
K Hg I
4 4 12
Direct
0.004 0.214 0.000
0.496 0.714 0.500
0.504 0.286 0.000
0.996 0.786 0.500
0.246 0.189 0.644
0.254 0.689 0.144
0.746 0.311 0.644
0.754 0.811 0.144
0.007 0.768 0.005
0.238 0.369 0.194
0.240 0.402 0.813
0.260 0.902 0.313
0.262 0.869 0.694
0.493 0.268 0.505
0.507 0.732 0.005
0.738 0.131 0.194
0.740 0.098 0.813
0.760 0.598 0.313
0.762 0.631 0.694
0.993 0.232 0.505
```